For CeTh3O8, a crystal structure in the Materials Project, relaxed with GGA-PBE gives the simulated powder XRD pattern in this record (λ = 1.5418 Å (Cu Kα)).

Cell and atoms:
a = 13.0755 Å, b = 13.0755 Å, c = 13.0755 Å
α = 17.38°, β = 17.38°, γ = 17.38°
Positions (direct):
Ce  0.0000  0.0000  0.0000
Th  0.2512  0.2512  0.2512
Th  0.5000  0.5000  0.5000
Th  0.7488  0.7488  0.7488
O  0.0610  0.0610  0.0610
O  0.1879  0.1879  0.1879
O  0.3136  0.3136  0.3136
O  0.4367  0.4367  0.4367
O  0.5633  0.5633  0.5633
O  0.6864  0.6864  0.6864
O  0.8121  0.8121  0.8121
O  0.9390  0.9390  0.9390

Largest 10 diffraction maxima, by angle, 15 to 90 degrees two-theta:
d/Å	2theta	Rel. int.
3.224	27.67	100
2.792	32.06	35
1.974	45.97	51
1.684	54.48	35
1.682	54.56	12
1.613	57.10	8
1.396	67.04	8
1.282	73.95	15
1.250	76.19	7
1.140	85.06	13